TmMgBi2: calculated X-ray diffraction stick pattern (Cu Kα (λ = 1.5418 Å)), based on a DFT-relaxed cell (PBE, Alexandria).

Atomic structure:
a = 7.3672 Å, b = 7.3672 Å, c = 7.3672 Å
α = 35.89°, β = 35.89°, γ = 35.89°
Sites, in units of the cell vectors:
Tm: 0.0000 0.0000 0.0000
Mg: 0.8300 0.8300 0.8300
Bi: 0.4158 0.4158 0.4158
Bi: 0.5832 0.5832 0.5832

Largest 10 diffraction maxima, by intensity, 5 to 70 degrees two-theta:
| d_spacing | two_theta | I (rel.) |
| --- | --- | --- |
| 2.848 | 31.41 | 100 |
| 3.675 | 24.22 | 84 |
| 2.270 | 39.71 | 67 |
| 2.360 | 38.13 | 58 |
| 1.372 | 68.40 | 28 |
| 1.775 | 51.48 | 26 |
| 1.398 | 66.91 | 24 |
| 3.863 | 23.03 | 23 |
| 1.636 | 56.22 | 19 |
| 6.885 | 12.86 | 19 |

=====

Mg14BiW: calculated X-ray diffraction stick pattern (Cu Kα (λ = 1.5418 Å)), based on a DFT-relaxed cell (PBE, Alexandria).

Atomic structure:
a = 6.3140 Å, b = 6.3140 Å, c = 10.2229 Å
α = 90.00°, β = 90.00°, γ = 120.00°
Sites, in units of the cell vectors:
Mg: 0.0000 0.0000 0.2458
Mg: 0.0000 0.0000 0.7542
Mg: 0.0091 0.5046 0.2650
Mg: 0.0091 0.5046 0.7350
Mg: 0.3297 0.1648 0.5000
Mg: 0.3364 0.1682 0.0000
Mg: 0.4954 0.5046 0.2650
Mg: 0.4954 0.5046 0.7350
Mg: 0.4954 0.9909 0.2650
Mg: 0.4954 0.9909 0.7350
Mg: 0.8318 0.1682 0.0000
Mg: 0.8318 0.6636 0.0000
Mg: 0.8352 0.1648 0.5000
Mg: 0.8352 0.6703 0.5000
Bi: 0.3333 0.6667 0.0000
W: 0.3333 0.6667 0.5000

Largest 10 diffraction maxima, by intensity, 5 to 70 degrees two-theta:
| d_spacing | two_theta | I (rel.) |
| --- | --- | --- |
| 2.411 | 37.30 | 100 |
| 5.468 | 16.21 | 98 |
| 3.734 | 23.83 | 76 |
| 2.734 | 32.76 | 36 |
| 2.686 | 33.36 | 34 |
| 1.916 | 47.45 | 28 |
| 5.111 | 17.35 | 28 |
| 3.157 | 28.27 | 26 |
| 2.556 | 35.11 | 24 |
| 1.867 | 48.78 | 24 |

=====

Y4Mg3Bi: calculated X-ray diffraction stick pattern (Cu Kα (λ = 1.5418 Å)), based on a DFT-relaxed cell (PBE, Alexandria).

Atomic structure:
a = 9.3314 Å, b = 9.3314 Å, c = 9.3314 Å
α = 33.55°, β = 33.55°, γ = 33.55°
Sites, in units of the cell vectors:
Y: 0.1242 0.1242 0.1242
Y: 0.3745 0.3745 0.3745
Y: 0.6255 0.6255 0.6255
Y: 0.8758 0.8758 0.8758
Mg: 0.0000 0.0000 0.0000
Mg: 0.2551 0.2551 0.2551
Mg: 0.7449 0.7449 0.7449
Bi: 0.5000 0.5000 0.5000

Largest 10 diffraction maxima, by intensity, 5 to 70 degrees two-theta:
| d_spacing | two_theta | I (rel.) |
| --- | --- | --- |
| 2.693 | 33.27 | 100 |
| 1.555 | 59.44 | 37 |
| 1.904 | 47.76 | 18 |
| 8.798 | 10.05 | 18 |
| 4.398 | 20.19 | 17 |
| 4.593 | 19.32 | 14 |
| 1.347 | 69.85 | 11 |
| 2.297 | 39.22 | 10 |
| 3.495 | 25.48 | 9 |
| 2.932 | 30.48 | 6 |

=====

MgZn2Bi: calculated X-ray diffraction stick pattern (Cu Kα (λ = 1.5418 Å)), based on a DFT-relaxed cell (PBE, Alexandria).

Atomic structure:
a = 4.3707 Å, b = 4.3707 Å, c = 4.5034 Å
α = 90.00°, β = 90.00°, γ = 90.00°
Sites, in units of the cell vectors:
Mg: 0.0000 0.0000 0.0000
Zn: 0.0000 0.5000 0.5000
Zn: 0.5000 0.0000 0.5000
Bi: 0.5000 0.5000 0.0000

Largest 10 diffraction maxima, by intensity, 5 to 70 degrees two-theta:
| d_spacing | two_theta | I (rel.) |
| --- | --- | --- |
| 2.548 | 35.22 | 100 |
| 4.371 | 20.32 | 44 |
| 3.136 | 28.46 | 40 |
| 2.185 | 41.31 | 32 |
| 1.568 | 58.89 | 22 |
| 2.252 | 40.04 | 18 |
| 1.793 | 50.93 | 17 |
| 1.350 | 69.63 | 14 |
| 2.002 | 45.30 | 12 |
| 1.955 | 46.46 | 11 |

=====

Mg6ZnBi2: calculated X-ray diffraction stick pattern (Cu Kα (λ = 1.5418 Å)), based on a DFT-relaxed cell (PBE, Alexandria).

Atomic structure:
a = 7.5346 Å, b = 7.5346 Å, c = 8.5682 Å
α = 91.66°, β = 91.66°, γ = 115.78°
Sites, in units of the cell vectors:
Mg: 0.0156 0.5655 0.2248
Mg: 0.0693 0.8370 0.5537
Mg: 0.1630 0.9307 0.9463
Mg: 0.2904 0.3263 0.2184
Mg: 0.3263 0.2904 0.7184
Mg: 0.4345 0.9844 0.2752
Mg: 0.5655 0.0156 0.7248
Mg: 0.6737 0.7096 0.2816
Mg: 0.7096 0.6737 0.7816
Mg: 0.8370 0.0693 0.0537
Mg: 0.9307 0.1630 0.4463
Mg: 0.9844 0.4345 0.7752
Zn: 0.0524 0.9476 0.2500
Zn: 0.9476 0.0524 0.7500
Bi: 0.3358 0.6340 0.5119
Bi: 0.3660 0.6642 0.9881
Bi: 0.6340 0.3358 0.0119
Bi: 0.6642 0.3660 0.4881

Largest 10 diffraction maxima, by intensity, 5 to 70 degrees two-theta:
| d_spacing | two_theta | I (rel.) |
| --- | --- | --- |
| 3.756 | 23.69 | 100 |
| 3.999 | 22.23 | 79 |
| 3.547 | 25.11 | 66 |
| 6.778 | 13.06 | 62 |
| 2.558 | 35.08 | 60 |
| 2.859 | 31.29 | 49 |
| 2.494 | 36.01 | 46 |
| 3.695 | 24.08 | 43 |
| 2.845 | 31.44 | 43 |
| 2.259 | 39.90 | 39 |

=====

Mg2ZnBi2: calculated X-ray diffraction stick pattern (Cu Kα (λ = 1.5418 Å)), based on a DFT-relaxed cell (PBE, Alexandria).

Atomic structure:
a = 8.8430 Å, b = 8.8430 Å, c = 3.4293 Å
α = 90.00°, β = 90.00°, γ = 90.00°
Sites, in units of the cell vectors:
Mg: 0.1383 0.3617 0.0000
Mg: 0.3617 0.8617 0.0000
Mg: 0.6383 0.1383 0.0000
Mg: 0.8617 0.6383 0.0000
Zn: 0.0000 0.0000 0.0000
Zn: 0.5000 0.5000 0.0000
Bi: 0.1601 0.6601 0.5000
Bi: 0.3399 0.1601 0.5000
Bi: 0.6601 0.8399 0.5000
Bi: 0.8399 0.3399 0.5000

Largest 10 diffraction maxima, by intensity, 5 to 70 degrees two-theta:
| d_spacing | two_theta | I (rel.) |
| --- | --- | --- |
| 2.591 | 34.62 | 100 |
| 3.955 | 22.48 | 88 |
| 2.796 | 32.01 | 50 |
| 1.781 | 51.29 | 26 |
| 2.710 | 33.06 | 26 |
| 1.481 | 62.73 | 24 |
| 1.818 | 50.17 | 23 |
| 3.429 | 25.98 | 17 |
| 3.007 | 29.71 | 17 |
| 2.145 | 42.13 | 16 |

=====

MgZr6Bi: calculated X-ray diffraction stick pattern (Cu Kα (λ = 1.5418 Å)), based on a DFT-relaxed cell (PBE, Alexandria).

Atomic structure:
a = 5.2392 Å, b = 6.3846 Å, c = 6.3846 Å
α = 60.37°, β = 90.00°, γ = 90.00°
Sites, in units of the cell vectors:
Mg: 0.0000 0.0000 0.0000
Zr: 0.0000 0.4971 0.9898
Zr: 0.0000 0.9898 0.4971
Zr: 0.5000 0.1683 0.6808
Zr: 0.5000 0.1755 0.1755
Zr: 0.5000 0.6762 0.6762
Zr: 0.5000 0.6808 0.1683
Bi: 0.0000 0.4929 0.4929

Largest 10 diffraction maxima, by intensity, 5 to 70 degrees two-theta:
| d_spacing | two_theta | I (rel.) |
| --- | --- | --- |
| 2.452 | 36.65 | 100 |
| 2.620 | 34.23 | 37 |
| 2.442 | 36.81 | 34 |
| 3.809 | 23.35 | 22 |
| 5.549 | 15.97 | 22 |
| 1.478 | 62.88 | 20 |
| 2.759 | 32.45 | 18 |
| 1.363 | 68.89 | 17 |
| 2.775 | 32.26 | 15 |
| 1.596 | 57.76 | 15 |